The following is a calculated powder X-ray diffraction pattern of NaVAg2O4. It was derived from a structure optimized by DFT (GGA+U), using Cu Kα (weighted mean of Kα1 and Kα2).

Top 6 peaks for 2θ from 10° to 80°, low angle first:
17.75°, I 16, hkl 0 0 2
25.08°, I 18, hkl 1 1 0
30.89°, I 100, hkl 1 1 2
35.76°, I 21, hkl 2 0 0
51.60°, I 27, hkl 2 0 4
61.24°, I 24, hkl 3 1 2

Structure:
```
NaVAg2O4
1.0
5.022 0.000 0.000
0.000 5.022 0.000
0.000 0.000 9.996
Na V Ag O
2 2 4 8
Cartesian
0.000 0.000 0.000 Na
2.511 2.511 4.998 Na
0.000 0.000 4.998 V
2.511 2.511 0.000 V
0.000 2.511 2.499 Ag
0.000 2.511 7.497 Ag
2.511 0.000 2.499 Ag
2.511 0.000 7.497 Ag
1.022 1.022 6.003 O
1.022 4.000 3.994 O
1.489 1.489 1.004 O
1.489 3.533 8.992 O
3.533 1.489 8.992 O
3.533 3.533 1.004 O
4.000 1.022 3.994 O
4.000 4.000 6.003 O
```